La3Pm7Nd2: calculated powder diffraction line list (Cu Kα (λ = 1.5418 Å)), based on a cell relaxed with PBE.
Peak positions follow from Bragg's law for the DFT cell and can differ from measured ones.

Peak list (12 most intense, 2θ from 15° to 90°, in order of rising 2θ)
(1 1 1), 2θ 28.93, 3.087 Å, I = 29; (0 0 6), 2θ 29.80, 2.998 Å, I = 100; (1 1 2), 2θ 30.46, 2.935 Å, I = 54; (2 0 3), 2θ 32.75, 2.735 Å, I = 37; (1 1 -4), 2θ 33.77, 2.654 Å, I = 41; (1 1 -5), 2θ 36.83, 2.441 Å, I = 15; (3 1 -1), 2θ 48.76, 1.868 Å, I = 20; (0 2 0), 2θ 50.42, 1.810 Å, I = 14; (1 1 8), 2θ 51.10, 1.788 Å, I = 13; (2 0 9), 2θ 56.65, 1.625 Å, I = 12; (0 2 6), 2θ 59.68, 1.549 Å, I = 28; (2 2 3), 2θ 61.43, 1.509 Å, I = 12

Structure:
Cell lengths 6.5419, 3.6196, 18.0917 Å; angles 90.00, 96.31, 90.00 degrees
Space group P2/m (No. 10)
Symmetry-distinct sites (fractional):
La1 0.0000 0.0000 0.0000 (multiplicity 1)
La2 0.0457 0.5000 0.6614 (multiplicity 2)
Pm1 0.2298 0.5000 0.1662 (multiplicity 2)
Pm2 0.2450 0.0000 0.4996 (multiplicity 2)
Pm3 0.2738 0.0000 0.8336 (multiplicity 2)
Pm4 0.5000 0.5000 0.0000 (multiplicity 1)
Nd1 0.4480 0.0000 0.3290 (multiplicity 2)